Starting from a structure optimized by DFT (GGA-PBE), the powder diffractogram of NdFeNi was calculated for Cu Kα X-rays.
Intensities are scaled so that the largest is 100.

Structural model:
```
NdFeNi
1.0
5.0811 0.0000 0.0000
0.0000 4.1404 0.0000
-0.9795 0.0000 5.2021
Nd Fe Ni
2 2 2
Direct
0.2415 0.2500 0.4111
0.7585 0.7500 0.5889
0.3657 0.7500 0.9660
0.6343 0.2500 0.0340
0.0876 0.2500 0.8974
0.9124 0.7500 0.1026
```

Largest 10 diffraction maxima, sorted by position, 2θ from 10° to 80°:
d 3.187, 2θ = 28.0°, I = 100
d 2.873, 2θ = 31.1°, I = 43
d 2.601, 2θ = 34.5°, I = 30
d 2.585, 2θ = 34.7°, I = 98
d 2.505, 2θ = 35.9°, I = 57
d 2.203, 2θ = 41.0°, I = 57
d 2.138, 2θ = 42.3°, I = 32
d 2.098, 2θ = 43.1°, I = 59
d 2.070, 2θ = 43.7°, I = 60
d 1.595, 2θ = 57.8°, I = 38